Na2Hf2Si2SO12: theoretical X-ray diffraction stick pattern (CuKα), based on a cell relaxed with PBE.

Most intense lines, 2θ from 10° to 90°, by angle:
d (Å)	Rel. int.
6.493	24
4.654	84
4.528	100
3.910	13
3.252	28
3.231	14
2.939	47
2.926	25
2.640	21
2.618	26
1.955	15
1.825	15

Structural model:
a = 9.0438 Å, b = 9.0438 Å, c = 9.3292 Å
α = 119.17°, β = 119.17°, γ = 60.27°
Atoms (fractional coordinates):
1 Na 0.0602 0.9398 0.5000
2 Na 0.3248 0.8247 0.2431
3 Na 0.8247 0.3248 0.7431
4 Na 0.9398 0.0602 0.0000
5 Hf 0.1501 0.6717 0.8003
6 Hf 0.4603 0.9612 0.6829
7 Hf 0.6717 0.1501 0.3003
8 Hf 0.9612 0.4603 0.1829
9 Si 0.0615 0.2699 0.4871
10 Si 0.2699 0.0615 0.9871
11 Si 0.7675 0.8517 0.4902
12 Si 0.8517 0.7675 0.9902
13 S 0.3555 0.5612 0.4934
14 S 0.5612 0.3555 0.9934
15 O 0.0303 0.2976 0.3119
16 O 0.0336 0.7510 0.9729
17 O 0.0810 0.2306 0.0074
18 O 0.1004 0.4437 0.6555
19 O 0.1947 0.5387 0.3367
20 O 0.2306 0.0810 0.5074
21 O 0.2467 0.8841 0.9717
22 O 0.2976 0.0303 0.8119
23 O 0.3286 0.5881 0.6481
24 O 0.3712 0.7260 0.5083
25 O 0.4065 0.5193 0.9700
26 O 0.4437 0.1004 0.1555
27 O 0.5193 0.4065 0.4700
28 O 0.5387 0.1947 0.8367
29 O 0.5862 0.8816 0.5114
30 O 0.5881 0.3286 0.1481
31 O 0.6780 0.8139 0.8244
32 O 0.7260 0.3712 0.0083
33 O 0.7510 0.0336 0.4729
34 O 0.8139 0.6780 0.3244
35 O 0.8290 0.9477 0.1634
36 O 0.8816 0.5862 0.0114
37 O 0.8841 0.2467 0.4717
38 O 0.9477 0.8290 0.6634